Diffraction record for Rb3Ac3WO8. The X-ray diffraction stick pattern is simulated, not measured: it uses the PBE+U geometry in Alexandria and λ = 1.5418 Å (Cu Kα).
Peak positions follow from Bragg's law for the DFT cell and can differ from measured ones.

Largest 10 diffraction maxima, by angle, 10 to 90 degrees two-theta:
2θ/deg	I_rel
13.3	1000
26.8	504
28.1	263
29.0	377
29.1	746
32.9	416
33.1	805
46.0	432
48.7	276
54.1	175

Unit cell a=7.4761 b=7.4761 c=7.9155 alpha=118.12 beta=118.12 gamma=59.54
Sites, in units of the cell vectors:
1 Rb 0.0000 0.0000 0.0000
2 Rb 0.0000 0.5000 0.0000
3 Rb 0.5000 0.0000 0.0000
4 Ac 0.0000 0.5000 0.5000
5 Ac 0.5000 0.0000 0.5000
6 Ac 0.5000 0.5000 0.5000
7 W 0.0000 0.0000 0.5000
8 O 0.1969 0.7705 0.6648
9 O 0.2050 0.2050 0.6674
10 O 0.2295 0.8031 0.3352
11 O 0.2727 0.2727 0.3135
12 O 0.7273 0.7273 0.6865
13 O 0.7705 0.1969 0.6648
14 O 0.7950 0.7950 0.3326
15 O 0.8031 0.2295 0.3352

Diffraction record for Li4Ti3Ni3Sn2O16. The X-ray diffraction stick pattern is simulated, not measured: it uses the PBE+U geometry in Alexandria and λ = 1.5418 Å (Cu Kα).
Peak positions follow from Bragg's law for the DFT cell and can differ from measured ones.

Largest 10 diffraction maxima, by angle, 10 to 90 degrees two-theta:
2θ/deg	I_rel
19.4	622
19.5	1000
19.6	324
25.1	330
32.4	267
32.7	251
35.0	233
35.4	545
36.0	337
62.6	332

Unit cell a=5.9350 b=5.9431 c=9.7713 alpha=89.38 beta=89.88 gamma=60.44
Sites, in units of the cell vectors:
1 Li 0.0000 0.0000 0.0000
2 Li 0.0086 0.9842 0.5024
3 Li 0.3409 0.3238 0.5986
4 Li 0.6775 0.6602 0.0941
5 Ti 0.1800 0.1616 0.2781
6 Ti 0.6670 0.1738 0.2799
7 Ti 0.8357 0.3352 0.7763
8 Ni 0.1748 0.6524 0.2815
9 Ni 0.3433 0.8257 0.7821
10 Ni 0.8369 0.8239 0.7823
11 Sn 0.3340 0.3373 0.0017
12 Sn 0.6680 0.6726 0.5052
13 O 0.0421 0.4618 0.1518
14 O 0.1587 0.6851 0.8927
15 O 0.1677 0.1595 0.8891
16 O 0.3259 0.8450 0.3964
17 O 0.3511 0.3035 0.3897
18 O 0.4876 0.0280 0.1590
19 O 0.5010 0.4658 0.1532
20 O 0.5189 0.5141 0.6570
21 O 0.5301 0.9568 0.6634
22 O 0.6759 0.1798 0.8954
23 O 0.6902 0.6558 0.8851
24 O 0.8329 0.8463 0.3938
25 O 0.8386 0.3260 0.3907
26 O 0.9744 0.4890 0.6496
27 O 0.9888 0.9948 0.6890
28 O 0.9988 0.0068 0.1870